No. 1
Computed X-ray diffraction stick pattern of Nd8Tm6Pu for λ = 1.5418 Å (Cu Kα), from a DFT-relaxed cell (PBE, Alexandria).
Kinematic intensities with the Lorentz-polarization factor, no thermal factor.

Top 10 peaks for 10° ≤ 2θ ≤ 90°, by intensity:
- 31.57°, I = 100
- 41.53°, I = 23
- 48.76°, I = 22
- 54.80°, I = 20
- 30.43°, I = 20
- 27.57°, I = 18
- 58.57°, I = 16
- 59.26°, I = 15
- 80.19°, I = 10
- 83.80°, I = 9

```
Nd8Tm6Pu
1.0
9.883 0.000 0.000
-4.941 8.559 0.000
0.000 0.000 5.874
Nd Tm Pu
8 6 1
Cartesian
-3.372 6.707 1.530
0.819 2.285 1.530
2.388 0.433 4.344
0.000 5.706 1.559
4.941 2.853 4.315
2.553 8.126 1.530
4.122 6.274 4.344
8.314 1.852 4.344
-2.118 5.286 4.422
1.422 4.082 4.422
4.246 0.809 1.452
0.695 7.750 4.422
3.519 4.477 1.452
7.059 3.273 1.452
0.000 0.000 0.000
```

=====

No. 2
Computed X-ray diffraction stick pattern of Nd2TmPu for λ = 1.5418 Å (Cu Kα), from a DFT-relaxed cell (PBE, Alexandria).
Kinematic intensities with the Lorentz-polarization factor, no thermal factor.

Top 10 peaks for 10° ≤ 2θ ≤ 90°, by intensity:
- 31.55°, I = 100
- 34.07°, I = 81
- 31.01°, I = 48
- 60.78°, I = 43
- 29.19°, I = 38
- 50.87°, I = 37
- 53.83°, I = 23
- 38.94°, I = 19
- 58.75°, I = 17
- 86.59°, I = 17

```
Nd2TmPu
1.0
3.590 0.000 0.000
-1.795 3.109 0.000
0.000 0.000 34.609
Nd Tm Pu
6 3 3
Cartesian
0.000 0.000 0.000
0.000 0.000 5.790
0.000 2.073 23.073
0.000 2.073 28.862
1.795 1.036 11.536
1.795 1.036 17.326
0.000 0.000 14.434
0.000 2.073 2.897
1.795 1.036 25.970
0.000 0.000 20.207
0.000 2.073 8.671
1.795 1.036 31.744
```

=====

No. 3
Computed X-ray diffraction stick pattern of Nd3Y6Pu for λ = 1.5418 Å (Cu Kα), from a DFT-relaxed cell (PBE, Alexandria).
Kinematic intensities with the Lorentz-polarization factor, no thermal factor.

Top 10 peaks for 10° ≤ 2θ ≤ 90°, by intensity:
- 31.22°, I = 100
- 17.88°, I = 40
- 29.14°, I = 37
- 32.36°, I = 28
- 41.57°, I = 27
- 55.57°, I = 19
- 37.21°, I = 18
- 49.34°, I = 17
- 43.23°, I = 12
- 54.29°, I = 12

```
Nd3Y6Pu
1.0
4.962 2.865 3.896
-4.962 2.865 3.896
0.000 -5.729 3.896
Nd Y Pu
3 6 1
Cartesian
0.000 0.000 0.000
0.000 0.000 2.946
0.000 0.000 8.622
-3.265 0.031 4.254
-1.615 -2.751 6.146
1.606 -2.843 4.254
-1.575 2.774 6.146
1.659 2.812 4.254
3.190 -0.023 6.146
0.000 0.000 5.820
```

=====

No. 4
Computed X-ray diffraction stick pattern of NdY14Pu for λ = 1.5418 Å (Cu Kα), from a DFT-relaxed cell (PBE, Alexandria).
Kinematic intensities with the Lorentz-polarization factor, no thermal factor.

Top 10 peaks for 10° ≤ 2θ ≤ 90°, by intensity:
- 30.66°, I = 100
- 35.48°, I = 34
- 60.73°, I = 27
- 51.22°, I = 23
- 35.70°, I = 17
- 61.03°, I = 14
- 63.85°, I = 12
- 51.05°, I = 12
- 83.51°, I = 11
- 83.25°, I = 6

```
NdY14Pu
1.0
7.157 0.000 0.000
0.000 7.157 0.000
0.000 0.000 10.059
Nd Y Pu
1 14 1
Cartesian
0.000 0.000 0.000
0.000 0.000 5.030
0.000 3.578 0.000
0.000 3.578 5.030
1.806 1.806 2.500
1.806 1.806 7.559
1.806 5.351 2.500
1.806 5.351 7.559
3.578 0.000 0.000
3.578 0.000 5.030
3.578 3.578 5.030
5.351 1.806 2.500
5.351 1.806 7.559
5.351 5.351 2.500
5.351 5.351 7.559
3.578 3.578 0.000
```

=====

No. 5
Computed X-ray diffraction stick pattern of Rb5NdS4 for λ = 1.5418 Å (Cu Kα), from a DFT-relaxed cell (PBE, Alexandria).
Kinematic intensities with the Lorentz-polarization factor, no thermal factor.

Top 10 peaks for 10° ≤ 2θ ≤ 90°, by intensity:
- 28.76°, I = 100
- 24.21°, I = 60
- 37.69°, I = 53
- 29.31°, I = 49
- 22.78°, I = 37
- 48.96°, I = 29
- 45.09°, I = 24
- 39.09°, I = 22
- 11.34°, I = 22
- 49.60°, I = 21

```
Rb5NdS4
1.0
-2.304 4.316 9.143
2.304 -4.316 9.143
2.304 4.316 -9.143
Rb Nd S
5 1 4
Cartesian
0.000 0.000 0.000
2.304 2.172 -3.108
2.304 2.172 3.108
0.000 2.144 6.034
0.000 2.144 12.251
0.000 4.316 0.000
2.304 2.417 0.000
2.304 0.000 6.143
0.000 4.316 3.000
0.000 1.899 9.143
```

=====

No. 6
Computed X-ray diffraction stick pattern of Rb2NdSbS4 for λ = 1.5418 Å (Cu Kα), from a DFT-relaxed cell (PBE, Alexandria).
Kinematic intensities with the Lorentz-polarization factor, no thermal factor.

Top 10 peaks for 10° ≤ 2θ ≤ 90°, by intensity:
- 29.18°, I = 100
- 25.20°, I = 58
- 41.74°, I = 47
- 68.57°, I = 19
- 49.33°, I = 17
- 49.44°, I = 17
- 12.53°, I = 15
- 51.83°, I = 12
- 51.65°, I = 12
- 41.85°, I = 12

```
Rb2NdSbS4
1.0
-4.317 4.339 6.119
4.317 -4.339 6.119
4.317 4.339 -6.119
Rb Nd Sb S
4 2 2 8
Cartesian
0.000 0.000 0.000
-2.159 2.170 3.060
0.000 4.339 0.000
2.159 2.170 3.060
4.317 0.000 0.000
0.000 0.000 6.119
2.159 2.170 -3.060
2.159 -2.170 3.060
4.317 -0.311 2.870
4.317 4.029 -2.870
2.433 2.170 -0.238
6.202 2.170 -0.238
-1.885 2.170 6.357
1.885 2.170 6.357
0.000 0.311 8.989
0.000 4.650 3.250
```

=====

No. 7
Computed X-ray diffraction stick pattern of RbNdTeS for λ = 1.5418 Å (Cu Kα), from a DFT-relaxed cell (PBE, Alexandria).
Kinematic intensities with the Lorentz-polarization factor, no thermal factor.

Top 10 peaks for 10° ≤ 2θ ≤ 90°, by intensity:
- 29.45°, I = 100
- 24.47°, I = 75
- 34.33°, I = 57
- 41.14°, I = 52
- 10.54°, I = 44
- 43.11°, I = 25
- 51.40°, I = 21
- 67.84°, I = 16
- 70.60°, I = 14
- 61.06°, I = 14

```
RbNdTeS
1.0
4.388 0.000 0.000
-2.193 3.801 0.000
-0.011 -2.517 8.392
Rb Nd Te S
1 1 1 1
Cartesian
0.000 0.000 0.000
-0.013 0.021 3.931
2.182 -1.248 5.857
2.182 1.287 2.522
```

=====

No. 8
Computed X-ray diffraction stick pattern of RbNdSe4 for λ = 1.5418 Å (Cu Kα), from a DFT-relaxed cell (PBE, Alexandria).
Kinematic intensities with the Lorentz-polarization factor, no thermal factor.

Top 10 peaks for 10° ≤ 2θ ≤ 90°, by intensity:
- 28.27°, I = 100
- 32.84°, I = 57
- 10.06°, I = 49
- 44.68°, I = 38
- 34.62°, I = 33
- 52.45°, I = 22
- 61.56°, I = 21
- 27.82°, I = 16
- 62.28°, I = 15
- 37.43°, I = 13

```
RbNdSe4
1.0
6.414 0.000 0.000
0.000 6.414 0.000
0.000 0.000 8.795
Rb Nd Se
2 2 8
Cartesian
1.603 1.603 0.000
4.810 4.810 0.000
1.603 1.603 4.398
4.810 4.810 4.398
0.744 3.951 2.604
0.744 5.670 6.191
2.463 3.951 6.191
2.463 5.670 2.604
3.951 0.744 6.191
3.951 2.463 2.604
5.670 0.744 2.604
5.670 2.463 6.191
```

=====

No. 9
Computed X-ray diffraction stick pattern of RbNd6Se8 for λ = 1.5418 Å (Cu Kα), from a DFT-relaxed cell (PBE, Alexandria).
Kinematic intensities with the Lorentz-polarization factor, no thermal factor.

Top 10 peaks for 10° ≤ 2θ ≤ 90°, by intensity:
- 31.61°, I = 100
- 37.70°, I = 87
- 22.48°, I = 46
- 23.72°, I = 43
- 32.53°, I = 40
- 45.03°, I = 32
- 27.40°, I = 29
- 71.99°, I = 23
- 41.90°, I = 22
- 54.02°, I = 19

```
RbNd6Se8
1.0
11.459 0.000 0.000
-5.730 9.924 0.000
0.000 0.000 4.313
Rb Nd Se
1 6 8
Cartesian
0.000 0.000 0.000
-1.164 4.762 1.082
-1.023 8.551 1.082
3.542 3.390 3.231
2.188 6.534 1.082
6.753 1.373 3.231
6.894 5.162 3.231
-3.407 6.815 1.072
1.531 3.566 1.072
0.000 6.616 3.238
3.854 0.457 3.241
1.876 9.467 1.072
5.730 3.308 1.074
4.199 6.358 3.241
9.136 3.109 3.241
```

=====

No. 10
Computed X-ray diffraction stick pattern of Rb2NdTlSe4 for λ = 1.5418 Å (Cu Kα), from a DFT-relaxed cell (PBE, Alexandria).
Kinematic intensities with the Lorentz-polarization factor, no thermal factor.

Top 10 peaks for 10° ≤ 2θ ≤ 90°, by intensity:
- 27.43°, I = 100
- 27.98°, I = 93
- 28.31°, I = 88
- 11.99°, I = 71
- 39.58°, I = 70
- 49.38°, I = 69
- 39.83°, I = 68
- 40.23°, I = 64
- 24.11°, I = 37
- 71.71°, I = 20

```
Rb2NdTlSe4
1.0
6.304 -6.503 0.000
6.304 6.503 0.000
-6.300 0.000 6.379
Rb Nd Tl Se
4 2 2 8
Cartesian
0.000 0.000 0.000
-3.150 0.000 3.189
3.152 3.252 0.000
0.002 -3.252 3.189
0.002 3.252 3.189
3.152 -3.252 0.000
6.304 0.000 0.000
3.154 0.000 3.189
0.190 3.123 6.171
2.968 3.123 3.397
0.276 0.191 3.393
3.426 -0.191 0.203
2.882 0.191 6.175
6.032 -0.191 2.986
3.340 -3.123 2.982
6.118 -3.123 0.208
```

=====

No. 11
Computed X-ray diffraction stick pattern of Rb3Nd3VSe8 for λ = 1.5418 Å (Cu Kα), from a DFT-relaxed cell (PBE, Alexandria).
Kinematic intensities with the Lorentz-polarization factor, no thermal factor.

Top 10 peaks for 10° ≤ 2θ ≤ 90°, by intensity:
- 28.47°, I = 100
- 10.79°, I = 42
- 43.00°, I = 34
- 38.30°, I = 30
- 35.49°, I = 17
- 52.38°, I = 16
- 44.45°, I = 13
- 70.02°, I = 13
- 47.71°, I = 10
- 58.93°, I = 9

```
Rb3Nd3VSe8
1.0
4.207 2.429 8.201
-4.207 2.429 8.201
0.000 -4.858 8.201
Rb Nd V Se
3 3 1 8
Cartesian
-2.103 -1.214 8.201
-2.103 1.214 16.402
0.000 2.429 8.201
-4.207 0.000 12.302
-2.103 1.214 4.101
2.103 1.214 4.101
0.000 0.000 12.302
0.000 0.000 5.773
-1.866 -1.078 13.801
0.000 -2.155 10.803
-1.866 1.078 10.803
1.866 -1.078 13.801
0.000 2.155 13.801
1.866 1.078 10.803
0.000 0.000 18.830
```

=====

No. 12
Computed X-ray diffraction stick pattern of Rb3Nd2YSe6 for λ = 1.5418 Å (Cu Kα), from a DFT-relaxed cell (PBE, Alexandria).
Kinematic intensities with the Lorentz-polarization factor, no thermal factor.

Top 10 peaks for 10° ≤ 2θ ≤ 90°, by intensity:
- 28.02°, I = 100
- 41.68°, I = 36
- 38.36°, I = 34
- 50.98°, I = 18
- 11.04°, I = 18
- 67.88°, I = 15
- 63.19°, I = 10
- 57.93°, I = 10
- 73.87°, I = 10
- 35.42°, I = 9

```
Rb3Nd2YSe6
1.0
3.753 -6.501 0.000
3.753 6.501 0.000
-2.504 0.000 8.017
Rb Nd Y Se
3 2 1 6
Cartesian
0.000 0.000 0.000
3.753 2.185 0.000
3.753 -2.185 0.000
2.501 4.336 4.008
2.501 -4.336 4.008
2.501 0.000 4.008
1.278 2.119 2.411
0.055 0.000 5.609
1.278 -2.119 2.411
3.724 2.119 5.606
4.948 0.000 2.408
3.724 -2.119 5.606
```